No. 1
The following is a calculated PXRD pattern of Si4SnO10. It was derived from the PBE geometry in the Materials Project, using Cu Kα X-rays.
No peak broadening, texture or thermal motion is included.

abc: 7.558 7.558 15.967
angles: 90.00 90.00 90.00
Element x y z (fractional)
1 Si 0.012 0.076 0.152
2 Si 0.012 0.424 0.652
3 Si 0.076 0.012 0.652
4 Si 0.076 0.488 0.152
5 Si 0.424 0.012 0.152
6 Si 0.424 0.488 0.652
7 Si 0.488 0.076 0.652
8 Si 0.488 0.424 0.152
9 Si 0.512 0.576 0.848
10 Si 0.512 0.924 0.348
11 Si 0.576 0.512 0.348
12 Si 0.576 0.988 0.848
13 Si 0.924 0.512 0.848
14 Si 0.924 0.988 0.348
15 Si 0.988 0.576 0.348
16 Si 0.988 0.924 0.848
17 Sn 0.250 0.250 0.407
18 Sn 0.250 0.250 0.907
19 Sn 0.750 0.750 0.093
20 Sn 0.750 0.750 0.593
21 O 0.005 0.212 0.634
22 O 0.005 0.288 0.134
23 O 0.015 0.134 0.408
24 O 0.015 0.366 0.908
25 O 0.036 0.536 0.250
26 O 0.036 0.964 0.750
27 O 0.134 0.015 0.908
28 O 0.134 0.485 0.408
29 O 0.212 0.005 0.134
30 O 0.212 0.495 0.634
31 O 0.288 0.005 0.634
32 O 0.288 0.495 0.134
33 O 0.366 0.015 0.408
34 O 0.366 0.485 0.908
35 O 0.464 0.536 0.750
36 O 0.464 0.964 0.250
37 O 0.485 0.134 0.908
38 O 0.485 0.366 0.408
39 O 0.495 0.212 0.134
40 O 0.495 0.288 0.634
41 O 0.505 0.712 0.366
42 O 0.505 0.788 0.866
43 O 0.515 0.634 0.592
44 O 0.515 0.866 0.092
45 O 0.536 0.036 0.750
46 O 0.536 0.464 0.250
47 O 0.634 0.515 0.092
48 O 0.634 0.985 0.592
49 O 0.712 0.505 0.866
50 O 0.712 0.995 0.366
51 O 0.788 0.505 0.366
52 O 0.788 0.995 0.866
53 O 0.866 0.515 0.592
54 O 0.866 0.985 0.092
55 O 0.964 0.036 0.250
56 O 0.964 0.464 0.750
57 O 0.985 0.634 0.092
58 O 0.985 0.866 0.592
59 O 0.995 0.712 0.866
60 O 0.995 0.788 0.366

Largest 12 diffraction maxima, in order of falling intensity, 2θ from 5° to 70°:
28.68 deg, I 100; 22.27 deg, I 73; 16.59 deg, I 72; 25.23 deg, I 58; 16.15 deg, I 44; 26.09 deg, I 28; 27.90 deg, I 22; 47.09 deg, I 21; 37.43 deg, I 19; 49.09 deg, I 18; 51.36 deg, I 18; 64.46 deg, I 17

=====

No. 2
The following is a calculated PXRD pattern of Cs2PAuS4. It was derived from the PBE geometry in the Materials Project, using Cu Kα X-rays.
No peak broadening, texture or thermal motion is included.

abc: 7.154 20.458 7.291
angles: 90.00 90.00 90.00
Element x y z (fractional)
1 Cs 0.094 0.166 0.250
2 Cs 0.094 0.334 0.750
3 Cs 0.291 0.016 0.750
4 Cs 0.291 0.484 0.250
5 Cs 0.709 0.516 0.750
6 Cs 0.709 0.984 0.250
7 Cs 0.906 0.666 0.250
8 Cs 0.906 0.834 0.750
9 P 0.223 0.614 0.750
10 P 0.223 0.886 0.250
11 P 0.777 0.114 0.750
12 P 0.777 0.386 0.250
13 Au 0.379 0.750 0.000
14 Au 0.379 0.750 0.500
15 Au 0.621 0.250 0.000
16 Au 0.621 0.250 0.500
17 S 0.026 0.160 0.750
18 S 0.026 0.340 0.250
19 S 0.210 0.514 0.750
20 S 0.210 0.986 0.250
21 S 0.379 0.637 0.513
22 S 0.379 0.637 0.987
23 S 0.379 0.863 0.013
24 S 0.379 0.863 0.487
25 S 0.621 0.137 0.513
26 S 0.621 0.137 0.987
27 S 0.621 0.363 0.013
28 S 0.621 0.363 0.487
29 S 0.790 0.014 0.750
30 S 0.790 0.486 0.250
31 S 0.974 0.660 0.750
32 S 0.974 0.840 0.250

Largest 12 diffraction maxima, in order of falling intensity, 2θ from 5° to 70°:
25.28 deg, I 100; 21.74 deg, I 74; 28.84 deg, I 70; 36.07 deg, I 68; 27.81 deg, I 67; 25.95 deg, I 67; 27.46 deg, I 67; 8.64 deg, I 57; 13.11 deg, I 52; 21.36 deg, I 49; 28.15 deg, I 47; 41.71 deg, I 45